Simulated X-ray diffraction stick pattern
Compound: Li5Mn2CoO8
Radiation: Cu Ka
Structure: the PBE+U geometry in the Materials Project
Neutral-atom scattering factors, no anomalous dispersion.

Cell and atoms:
```
data_Li5Mn2CoO8
_chemical_formula_sum 'Li10 Mn4 Co2 O16'
_cell_length_a 10.6409
_cell_length_b 10.6409
_cell_length_c 9.7460
_cell_angle_alpha 107.06
_cell_angle_beta 107.06
_cell_angle_gamma 15.50
_space_group_name_H-M_alt 'P 1'
_space_group_IT_number 1
loop_
_space_group_symop_operation_xyz
'x,y,z'
loop_
_atom_site_label
_atom_site_type_symbol
_atom_site_fract_x
_atom_site_fract_y
_atom_site_fract_z
Li1 Li 0.0661 0.0661 0.3113
Li2 Li 0.1950 0.1950 0.9398
Li3 Li 0.2499 0.2499 0.2499
Li4 Li 0.3052 0.3052 0.5605
Li5 Li 0.4341 0.4341 0.1891
Li6 Li 0.5659 0.5659 0.8109
Li7 Li 0.6948 0.6948 0.4395
Li8 Li 0.7501 0.7501 0.7501
Li9 Li 0.8050 0.8050 0.0602
Li10 Li 0.9339 0.9339 0.6887
Mn1 Mn 0.1307 0.1307 0.6186
Mn2 Mn 0.3694 0.3694 0.8813
Mn3 Mn 0.6306 0.6306 0.1187
Mn4 Mn 0.8693 0.8693 0.3814
Co1 Co 0.0000 0.0000 0.0000
Co2 Co 0.5000 0.5000 0.5000
O1 O 0.0320 0.0320 0.6372
O2 O 0.0966 0.0966 0.9772
O3 O 0.1514 0.1514 0.2563
O4 O 0.2118 0.2118 0.5904
O5 O 0.2883 0.2883 0.9097
O6 O 0.3488 0.3488 0.2442
O7 O 0.4032 0.4032 0.5229
O8 O 0.4672 0.4672 0.8630
O9 O 0.5328 0.5328 0.1370
O10 O 0.5968 0.5968 0.4771
O11 O 0.6512 0.6512 0.7558
O12 O 0.7117 0.7117 0.0903
O13 O 0.7882 0.7882 0.4096
O14 O 0.8486 0.8486 0.7437
O15 O 0.9034 0.9034 0.0228
O16 O 0.9680 0.9680 0.3628
```

Most intense lines, 10 to 90 degrees two-theta, low angle first:
2θ/deg, I_rel
17.61, 10
18.48, 100
19.07, 16
26.55, 9
35.66, 14
36.45, 24
43.35, 31
44.10, 61
58.08, 11
63.50, 16
63.61, 15
64.98, 8

Simulated X-ray diffraction stick pattern
Compound: Li7Mn4CoO12
Radiation: Cu Ka
Structure: the PBE+U geometry in the Materials Project
Neutral-atom scattering factors, no anomalous dispersion.

Cell and atoms:
```
data_Li7Mn4CoO12
_chemical_formula_sum 'Li7 Mn4 Co1 O12'
_cell_length_a 5.0453
_cell_length_b 6.4816
_cell_length_c 6.8216
_cell_angle_alpha 84.21
_cell_angle_beta 80.47
_cell_angle_gamma 83.30
_space_group_name_H-M_alt 'P 1'
_space_group_IT_number 1
loop_
_space_group_symop_operation_xyz
'x,y,z'
loop_
_atom_site_label
_atom_site_type_symbol
_atom_site_fract_x
_atom_site_fract_y
_atom_site_fract_z
Li1 Li 0.0000 0.0000 0.0000
Li2 Li 0.0030 0.3190 0.6674
Li3 Li 0.5009 0.4903 0.4922
Li4 Li 0.5083 0.1616 0.8278
Li5 Li 0.5177 0.8339 0.1873
Li6 Li 0.7541 0.0782 0.4195
Li7 Li 0.9945 0.6667 0.3376
Mn1 Mn 0.2523 0.5777 0.9217
Mn2 Mn 0.2558 0.9176 0.5732
Mn3 Mn 0.7542 0.7513 0.7412
Mn4 Mn 0.7587 0.4059 0.0955
Co1 Co 0.2641 0.2400 0.2624
O1 O 0.1127 0.6407 0.6221
O2 O 0.1136 0.3035 0.9643
O3 O 0.1503 0.9667 0.3136
O4 O 0.3668 0.1910 0.5450
O5 O 0.3770 0.8585 0.8512
O6 O 0.4021 0.5141 0.2117
O7 O 0.6007 0.7917 0.4667
O8 O 0.6172 0.1414 0.1246
O9 O 0.6280 0.4659 0.8213
O10 O 0.8924 0.6849 0.0464
O11 O 0.8930 0.3642 0.3438
O12 O 0.8938 0.0192 0.7090
```

Most intense lines, 10 to 90 degrees two-theta, low angle first:
2θ/deg, I_rel
18.33, 100
34.69, 16
36.30, 11
36.45, 12
41.68, 33
44.14, 28
44.40, 27
62.25, 8
62.39, 8
62.48, 8
62.58, 8
64.87, 11

Simulated X-ray diffraction stick pattern
Compound: Li7Mn4CoO12
Radiation: Cu Ka
Structure: the PBE+U geometry in the Materials Project
Neutral-atom scattering factors, no anomalous dispersion.

Cell and atoms:
```
data_Li7Mn4CoO12
_chemical_formula_sum 'Li7 Mn4 Co1 O12'
_cell_length_a 5.0267
_cell_length_b 6.4938
_cell_length_c 6.7624
_cell_angle_alpha 83.88
_cell_angle_beta 80.87
_cell_angle_gamma 82.81
_space_group_name_H-M_alt 'P 1'
_space_group_IT_number 1
loop_
_space_group_symop_operation_xyz
'x,y,z'
loop_
_atom_site_label
_atom_site_type_symbol
_atom_site_fract_x
_atom_site_fract_y
_atom_site_fract_z
Li1 Li 0.0000 0.0000 0.0000
Li2 Li 0.0011 0.3332 0.6651
Li3 Li 0.0117 0.6748 0.3505
Li4 Li 0.2412 0.9210 0.5864
Li5 Li 0.4686 0.1740 0.8112
Li6 Li 0.4774 0.8390 0.1595
Li7 Li 0.4873 0.5064 0.5080
Mn1 Mn 0.2403 0.2495 0.2538
Mn2 Mn 0.7368 0.7569 0.7445
Mn3 Mn 0.7412 0.0846 0.4266
Mn4 Mn 0.7415 0.4233 0.0748
Co1 Co 0.2349 0.5929 0.9072
O1 O 0.0974 0.3167 0.9550
O2 O 0.1008 0.6342 0.6505
O3 O 0.1041 0.9806 0.2928
O4 O 0.3656 0.5346 0.1808
O5 O 0.3767 0.8598 0.8686
O6 O 0.3940 0.2075 0.5324
O7 O 0.5943 0.4878 0.7885
O8 O 0.6193 0.1358 0.1528
O9 O 0.6408 0.8056 0.4724
O10 O 0.8446 0.0356 0.6926
O11 O 0.8636 0.7074 0.0103
O12 O 0.8778 0.3610 0.3754
```

Most intense lines, 10 to 90 degrees two-theta, low angle first:
2θ/deg, I_rel
18.34, 100
35.11, 14
36.42, 24
42.16, 31
44.27, 55
47.37, 8
58.28, 9
62.54, 15
63.02, 15
64.00, 7
64.80, 7
80.38, 7

Simulated X-ray diffraction stick pattern
Compound: Li7Mn4CoO12
Radiation: Cu Ka
Structure: the PBE+U geometry in the Materials Project
Neutral-atom scattering factors, no anomalous dispersion.

Cell and atoms:
```
data_Li7Mn4CoO12
_chemical_formula_sum 'Li14 Mn8 Co2 O24'
_cell_length_a 5.9174
_cell_length_b 7.6543
_cell_length_c 10.1835
_cell_angle_alpha 77.08
_cell_angle_beta 76.43
_cell_angle_gamma 81.87
_space_group_name_H-M_alt 'P 1'
_space_group_IT_number 1
loop_
_space_group_symop_operation_xyz
'x,y,z'
loop_
_atom_site_label
_atom_site_type_symbol
_atom_site_fract_x
_atom_site_fract_y
_atom_site_fract_z
Li1 Li 0.0000 0.0000 0.0000
Li2 Li 0.0011 0.5013 0.2532
Li3 Li 0.1563 0.8426 0.7540
Li4 Li 0.1590 0.8522 0.2410
Li5 Li 0.3431 0.1474 0.7588
Li6 Li 0.3444 0.1566 0.2467
Li7 Li 0.4981 0.4993 0.7470
Li8 Li 0.5000 0.0000 0.0000
Li9 Li 0.5019 0.5007 0.2530
Li10 Li 0.6556 0.8434 0.7533
Li11 Li 0.6569 0.8526 0.2412
Li12 Li 0.8410 0.1478 0.7590
Li13 Li 0.8437 0.1574 0.2460
Li14 Li 0.9989 0.4987 0.7468
Mn1 Mn 0.1615 0.3224 0.0044
Mn2 Mn 0.1697 0.3304 0.5013
Mn3 Mn 0.3304 0.6696 0.4977
Mn4 Mn 0.3385 0.6774 0.9959
Mn5 Mn 0.6615 0.3226 0.0041
Mn6 Mn 0.6696 0.3304 0.5023
Mn7 Mn 0.8303 0.6696 0.4987
Mn8 Mn 0.8385 0.6776 0.9956
Co1 Co 0.0000 0.0000 0.5000
Co2 Co 0.5000 0.0000 0.5000
O1 O 0.0159 0.2370 0.3861
O2 O 0.0316 0.7341 0.1084
O3 O 0.1499 0.5834 0.8941
O4 O 0.1540 0.0882 0.6171
O5 O 0.1605 0.1033 0.1181
O6 O 0.1856 0.5710 0.3798
O7 O 0.3142 0.4288 0.6196
O8 O 0.3395 0.8967 0.8822
O9 O 0.3460 0.9110 0.3823
O10 O 0.3503 0.4166 0.1059
O11 O 0.4683 0.2660 0.8915
O12 O 0.4834 0.7643 0.6132
O13 O 0.5166 0.2357 0.3868
O14 O 0.5317 0.7340 0.1085
O15 O 0.6497 0.5834 0.8941
O16 O 0.6540 0.0890 0.6177
O17 O 0.6605 0.1033 0.1178
O18 O 0.6858 0.5712 0.3804
O19 O 0.8144 0.4290 0.6202
O20 O 0.8395 0.8967 0.8819
O21 O 0.8460 0.9118 0.3829
O22 O 0.8501 0.4166 0.1059
O23 O 0.9684 0.2659 0.8916
O24 O 0.9841 0.7630 0.6139
```

Most intense lines, 10 to 90 degrees two-theta, low angle first:
2θ/deg, I_rel
13.50, 9
18.29, 100
34.62, 17
36.28, 12
36.73, 12
41.45, 34
44.24, 27
44.60, 27
62.02, 8
62.38, 8
62.99, 8
65.19, 9

Please write out number 1 again, unchanged.
Simulated X-ray diffraction stick pattern
Compound: Li5Mn2CoO8
Radiation: Cu Ka
Structure: the PBE+U geometry in the Materials Project
Neutral-atom scattering factors, no anomalous dispersion.

Cell and atoms:
```
data_Li5Mn2CoO8
_chemical_formula_sum 'Li10 Mn4 Co2 O16'
_cell_length_a 10.6409
_cell_length_b 10.6409
_cell_length_c 9.7460
_cell_angle_alpha 107.06
_cell_angle_beta 107.06
_cell_angle_gamma 15.50
_space_group_name_H-M_alt 'P 1'
_space_group_IT_number 1
loop_
_space_group_symop_operation_xyz
'x,y,z'
loop_
_atom_site_label
_atom_site_type_symbol
_atom_site_fract_x
_atom_site_fract_y
_atom_site_fract_z
Li1 Li 0.0661 0.0661 0.3113
Li2 Li 0.1950 0.1950 0.9398
Li3 Li 0.2499 0.2499 0.2499
Li4 Li 0.3052 0.3052 0.5605
Li5 Li 0.4341 0.4341 0.1891
Li6 Li 0.5659 0.5659 0.8109
Li7 Li 0.6948 0.6948 0.4395
Li8 Li 0.7501 0.7501 0.7501
Li9 Li 0.8050 0.8050 0.0602
Li10 Li 0.9339 0.9339 0.6887
Mn1 Mn 0.1307 0.1307 0.6186
Mn2 Mn 0.3694 0.3694 0.8813
Mn3 Mn 0.6306 0.6306 0.1187
Mn4 Mn 0.8693 0.8693 0.3814
Co1 Co 0.0000 0.0000 0.0000
Co2 Co 0.5000 0.5000 0.5000
O1 O 0.0320 0.0320 0.6372
O2 O 0.0966 0.0966 0.9772
O3 O 0.1514 0.1514 0.2563
O4 O 0.2118 0.2118 0.5904
O5 O 0.2883 0.2883 0.9097
O6 O 0.3488 0.3488 0.2442
O7 O 0.4032 0.4032 0.5229
O8 O 0.4672 0.4672 0.8630
O9 O 0.5328 0.5328 0.1370
O10 O 0.5968 0.5968 0.4771
O11 O 0.6512 0.6512 0.7558
O12 O 0.7117 0.7117 0.0903
O13 O 0.7882 0.7882 0.4096
O14 O 0.8486 0.8486 0.7437
O15 O 0.9034 0.9034 0.0228
O16 O 0.9680 0.9680 0.3628
```

Most intense lines, 10 to 90 degrees two-theta, low angle first:
2θ/deg, I_rel
17.61, 10
18.48, 100
19.07, 16
26.55, 9
35.66, 14
36.45, 24
43.35, 31
44.10, 61
58.08, 11
63.50, 16
63.61, 15
64.98, 8